Starting from a structure optimized by DFT (PBE), the powder diffractogram of UTeHCl was computed for CuKα.
Peak positions follow from Bragg's law for the DFT cell and can differ from measured ones.

Cell: 7.819 7.819 7.819 Å, 28.82 28.82 28.82°
Fractional coordinates of all 4 atoms:
U (0.000, 0.000, 0.000)
Te (0.242, 0.242, 0.242)
H (0.666, 0.666, 0.666)
Cl (0.412, 0.412, 0.412)

Most intense lines, 2θ from 10° to 90°, low angle first:
Position (°2θ)	I (rel.)
11.82	100.0
26.75	54.1
30.94	67.8
33.23	53.2
38.74	21.6
41.87	30.1
46.69	30.0
48.33	19.5
60.31	15.8
69.70	18.7